# 1
Structure and calculated powder diffraction line list of Ta5Mo3 (a structure optimized by DFT (GGA-PBE); Cu Kα, 1.54184 Å).
No peak broadening, texture or thermal motion is included.

Main lines, low angle first (2θ = 10–90°):
35.1°, I 4, (1 1 2)
38.5°, I 26, (0 2 0)
39.2°, I 100, (1 1 4)
39.6°, I 24, (0 0 8)
56.4°, I 17, (0 2 8)
56.9°, I 9, (2 0 0)
70.1°, I 18, (1 3 4)
70.8°, I 9, (2 2 0)
71.5°, I 25, (2 0 8)
84.3°, I 11, (2 2 8)

Cell and atoms:
Lattice parameters (Å, degrees): 3.238 4.674 18.228 90.00 90.00 90.00
Space group Imm2 (No. 44)
One atom of each set of equivalent atoms:
Ta1 0.000 0.000 0.000 [2 per cell]
Ta2 0.000 0.000 0.242 [2 per cell]
Ta3 0.000 0.000 0.742 [2 per cell]
Ta4 0.000 0.500 0.370 [2 per cell]
Ta5 0.000 0.500 0.875 [2 per cell]
Mo1 0.000 0.000 0.500 [2 per cell]
Mo2 0.000 0.500 0.118 [2 per cell]
Mo3 0.000 0.500 0.621 [2 per cell]



# 2
Structure and calculated powder diffraction line list of Pa3Si6Pd20 (a structure optimized by DFT (GGA-PBE); Cu Kα, 1.54184 Å).
No peak broadening, texture or thermal motion is included.

Main lines, low angle first (2θ = 10–90°):
32.5°, I 25, (4 2 0)
35.7°, I 53, (4 2 2)
37.9°, I 100, (3 3 3)
41.4°, I 41, (4 4 0)
43.4°, I 15, (5 3 1)
49.0°, I 13, (6 2 2)
64.1°, I 35, (6 6 0)
65.5°, I 16, (5 5 5)
75.5°, I 25, (8 4 4)
76.9°, I 10, (9 3 3)

Cell and atoms:
Lattice parameters (Å, degrees): 12.335 12.335 12.335 90.00 90.00 90.00
Space group Fm-3m (No. 225)
One atom of each set of equivalent atoms:
Pa1 0.000 0.000 0.000 [4 per cell]
Pa2 0.250 0.250 0.250 [8 per cell]
Si1 0.000 0.000 0.268 [24 per cell]
Pd1 0.000 0.172 0.172 [48 per cell]
Pd2 0.118 0.118 0.382 [32 per cell]



# 3
Structure and calculated powder diffraction line list of Ni3GeH (a structure optimized by DFT (GGA-PBE); Cu Kα, 1.54184 Å).
No peak broadening, texture or thermal motion is included.

Main lines, low angle first (2θ = 10–90°):
40.7°, I 24, (2 0 0)
42.7°, I 28, (0 0 2)
46.3°, I 100, (2 0 1)
60.5°, I 14, (2 0 2)
74.1°, I 15, (2 2 0)
80.7°, I 18, (2 0 3)
88.2°, I 2, (4 0 0)
89.5°, I 18, (2 2 2)

Cell and atoms:
Lattice parameters (Å, degrees): 5.1158 5.1158 4.2330 90.00 90.00 120.00
Space group P6_3/m (No. 176)
One atom of each set of equivalent atoms:
Ni1 0.1685 0.8287 0.2500 [6 per cell]
Ge1 0.3333 0.6667 0.7500 [2 per cell]
H1 0.0000 0.0000 0.0000 [2 per cell]



Copy entry 3 word for word.
Structure and calculated powder diffraction line list of Ni3GeH (a structure optimized by DFT (GGA-PBE); Cu Kα, 1.54184 Å).
No peak broadening, texture or thermal motion is included.

Main lines, low angle first (2θ = 10–90°):
40.7°, I 24, (2 0 0)
42.7°, I 28, (0 0 2)
46.3°, I 100, (2 0 1)
60.5°, I 14, (2 0 2)
74.1°, I 15, (2 2 0)
80.7°, I 18, (2 0 3)
88.2°, I 2, (4 0 0)
89.5°, I 18, (2 2 2)

Cell and atoms:
Lattice parameters (Å, degrees): 5.1158 5.1158 4.2330 90.00 90.00 120.00
Space group P6_3/m (No. 176)
One atom of each set of equivalent atoms:
Ni1 0.1685 0.8287 0.2500 [6 per cell]
Ge1 0.3333 0.6667 0.7500 [2 per cell]
H1 0.0000 0.0000 0.0000 [2 per cell]